Record 1
This entry pairs a crystal structure of WBr3 with its simulated powder diffraction line list. Radiation: Cu Kα (λ = 1.5418 Å). Structure: a cell relaxed with PBE.
Peak positions follow from Bragg's law for the DFT cell and can differ from measured ones.

Top 10 peaks for 10 to 80 degrees two-theta, low angle first:
Position (°2θ), Rel. int.
13.03, 100.0
18.09, 67.0
26.65, 45.0
34.09, 28.8
35.05, 29.9
35.27, 52.1
36.64, 16.4
43.79, 23.6
49.86, 38.6
59.58, 12.1

Crystal structure
```
data_WBr3
_chemical_formula_sum 'W2 Br6'
_symmetry_space_group_name_H-M 'P 1'
_symmetry_Int_Tables_number 1
_cell_length_a 5.259
_cell_length_b 13.585
_cell_length_c 3.844
_cell_angle_alpha 90.00
_cell_angle_beta 90.00
_cell_angle_gamma 90.00
loop_
_symmetry_equiv_pos_as_xyz
'x,y,z'
loop_
_atom_site_label
_atom_site_fract_x
_atom_site_fract_y
_atom_site_fract_z
W1 0.000 0.000 0.000
W2 0.500 0.500 0.000
Br1 0.000 0.130 0.500
Br2 0.000 0.500 0.000
Br3 0.000 0.870 0.500
Br4 0.500 0.000 0.000
Br5 0.500 0.370 0.500
Br6 0.500 0.630 0.500
```



Record 2
This entry pairs a crystal structure of WBr2 with its simulated powder diffraction line list. Radiation: Cu Kα (λ = 1.5418 Å). Structure: a cell relaxed with PBE.
Peak positions follow from Bragg's law for the DFT cell and can differ from measured ones.

Top 10 peaks for 10 to 80 degrees two-theta, low angle first:
Position (°2θ), Rel. int.
11.06, 38.7
11.75, 100.0
14.67, 18.7
31.68, 7.7
34.94, 7.0
37.32, 9.8
40.28, 7.9
41.76, 8.5
45.36, 9.9
47.78, 10.1

Crystal structure
```
data_WBr2
_chemical_formula_sum 'W12 Br24'
_symmetry_space_group_name_H-M 'P 1'
_symmetry_Int_Tables_number 1
_cell_length_a 10.022
_cell_length_b 10.022
_cell_length_c 12.077
_cell_angle_alpha 90.00
_cell_angle_beta 90.00
_cell_angle_gamma 74.07
loop_
_symmetry_equiv_pos_as_xyz
'x,y,z'
loop_
_atom_site_label
_atom_site_fract_x
_atom_site_fract_y
_atom_site_fract_z
W1 0.070 0.930 0.862
W2 0.117 0.117 0.000
W3 0.138 0.862 0.070
W4 0.362 0.638 0.570
W5 0.383 0.383 0.500
W6 0.430 0.570 0.362
W7 0.570 0.430 0.638
W8 0.617 0.617 0.500
W9 0.638 0.362 0.430
W10 0.862 0.138 0.930
W11 0.883 0.883 0.000
W12 0.930 0.070 0.138
Br1 0.047 0.185 0.791
Br2 0.093 0.674 0.931
Br3 0.155 0.845 0.655
Br4 0.174 0.593 0.431
Br5 0.185 0.047 0.209
Br6 0.222 0.222 0.500
Br7 0.278 0.278 0.000
Br8 0.315 0.453 0.709
Br9 0.326 0.907 0.931
Br10 0.345 0.655 0.155
Br11 0.407 0.826 0.431
Br12 0.453 0.315 0.291
Br13 0.547 0.685 0.709
Br14 0.593 0.174 0.569
Br15 0.655 0.345 0.845
Br16 0.674 0.093 0.069
Br17 0.685 0.547 0.291
Br18 0.722 0.722 0.000
Br19 0.778 0.778 0.500
Br20 0.815 0.953 0.791
Br21 0.826 0.407 0.569
Br22 0.845 0.155 0.345
Br23 0.907 0.326 0.069
Br24 0.953 0.815 0.209
```